Entry 1:
Starting from a crystal structure in Alexandria, relaxed with PBE, the XRD peak list of Dy2Ho3Sc6 was computed for Cu Kα.
Peak positions follow from Bragg's law for the DFT cell and can differ from measured ones.

Main lines, by angle (2θ from 10° to 90°):
2theta, I (rel.), h k l
14.77, 31, 0 0 15
17.74, 20, 0 0 18
32.32, 100, 0 1 11
32.84, 32, 0 0 33
37.65, 66, 1 0 22
53.95, 23, 1 1 0
54.64, 22, 0 1 44
64.62, 26, 1 1 33

Structure:
```
data_Dy2Ho3Sc6
_cell_length_a 3.3993
_cell_length_b 3.3993
_cell_length_c 89.9907
_cell_angle_alpha 90.00
_cell_angle_beta 90.00
_cell_angle_gamma 120.00
_symmetry_space_group_name_H-M 'R -3 m'
_symmetry_Int_Tables_number 166
_symmetry_space_group_name_Hall '-R 3 2"'
loop_
_atom_site_label
_atom_site_fract_x
_atom_site_fract_y
_atom_site_fract_z
Dy1 0.0000 0.0000 0.0450
Ho1 0.0000 0.0000 0.2275
Ho2 0.0000 0.0000 0.5000
Sc1 0.0000 0.0000 0.1362
Sc2 0.0000 0.0000 0.3191
Sc3 0.0000 0.0000 0.4088
```


Entry 2:
Starting from a crystal structure in Alexandria, relaxed with PBE, the XRD peak list of DyHo2Sc3 was computed for Cu Kα.
Peak positions follow from Bragg's law for the DFT cell and can differ from measured ones.

Main lines, by angle (2θ from 10° to 90°):
2theta, I (rel.), h k l
16.25, 95, 0 0 3
30.97, 71, 1 1 1
31.46, 100, 1 1 -2
32.83, 57, 0 0 6
33.51, 46, 2 0 2
38.56, 58, 1 1 4
53.42, 42, 0 2 0
64.14, 50, 3 1 5

Structure:
```
data_DyHo2Sc3
_cell_length_a 5.9428
_cell_length_b 3.4291
_cell_length_c 16.4878
_cell_angle_alpha 90.00
_cell_angle_beta 96.93
_cell_angle_gamma 90.00
_symmetry_space_group_name_H-M 'P 1 21/m 1'
_symmetry_Int_Tables_number 11
loop_
_symmetry_equiv_pos_as_xyz
'x,y,z'
'-x,-y,-z'
'-x,y+1/2,-z'
'x,-y+1/2,z'
loop_
_atom_site_label
_atom_site_fract_x
_atom_site_fract_y
_atom_site_fract_z
Dy1 0.0278 0.2500 0.3333
Ho1 0.2500 0.2500 0.0000
Ho2 0.4725 0.2500 0.6666
Sc1 0.1389 0.7500 0.1670
Sc2 0.2503 0.7500 0.5001
Sc3 0.3613 0.7500 0.8328
```


Entry 3:
Starting from a crystal structure in Alexandria, relaxed with PBE, the XRD peak list of Dy9Ho2Sc was computed for Cu Kα.
Peak positions follow from Bragg's law for the DFT cell and can differ from measured ones.

Main lines, by angle (2θ from 10° to 90°):
2theta, I (rel.), h k l
31.15, 100, 1 1 3
36.12, 50, 2 0 0
52.00, 36, 2 2 0
61.83, 28, 3 1 3
61.96, 14, 1 1 9
64.95, 12, 2 2 6
85.04, 12, 3 1 9
87.69, 11, 4 2 0

Structure:
```
data_Dy9Ho2Sc
_cell_length_a 4.9782
_cell_length_b 4.9782
_cell_length_c 14.8954
_cell_angle_alpha 90.00
_cell_angle_beta 90.00
_cell_angle_gamma 90.00
_symmetry_space_group_name_H-M 'P 4/m m m'
_symmetry_Int_Tables_number 123
_symmetry_space_group_name_Hall '-P 4 2'
loop_
_atom_site_label
_atom_site_fract_x
_atom_site_fract_y
_atom_site_fract_z
Dy1 0.0000 0.0000 0.0000
Dy2 0.0000 0.0000 0.3311
Dy3 0.0000 0.5000 0.1625
Dy4 0.0000 0.5000 0.5000
Ho1 0.5000 0.5000 0.3316
Sc1 0.5000 0.5000 0.0000
```


Entry 4:
Starting from a crystal structure in Alexandria, relaxed with PBE, the XRD peak list of Dy2Ho6Sc3 was computed for Cu Kα.
Peak positions follow from Bragg's law for the DFT cell and can differ from measured ones.

Main lines, by angle (2θ from 10° to 90°):
2theta, I (rel.), h k l
31.63, 100, 0 1 11
31.99, 29, 0 0 33
36.79, 64, 1 0 22
52.78, 25, 1 1 0
53.25, 19, 0 1 44
62.85, 14, 2 0 11
63.06, 25, 1 1 33
86.48, 12, 1 2 11

Structure:
```
data_Dy2Ho6Sc3
_cell_length_a 3.4692
_cell_length_b 3.4692
_cell_length_c 92.3118
_cell_angle_alpha 90.00
_cell_angle_beta 90.00
_cell_angle_gamma 120.00
_symmetry_space_group_name_H-M 'R -3 m'
_symmetry_Int_Tables_number 166
_symmetry_space_group_name_Hall '-R 3 2"'
loop_
_atom_site_label
_atom_site_fract_x
_atom_site_fract_y
_atom_site_fract_z
Dy1 0.0000 0.0000 0.0470
Ho1 0.0000 0.0000 0.1373
Ho2 0.0000 0.0000 0.3177
Ho3 0.0000 0.0000 0.4119
Sc1 0.0000 0.0000 0.2255
Sc2 0.0000 0.0000 0.5000
```


Entry 5:
Starting from a crystal structure in Alexandria, relaxed with PBE, the XRD peak list of Dy4Ho19Sc6 was computed for Cu Kα.
Peak positions follow from Bragg's law for the DFT cell and can differ from measured ones.

Main lines, by angle (2θ from 10° to 90°):
2theta, I (rel.), h k l
27.33, 19, 3 2 1
29.25, 38, 4 0 0
31.07, 100, 3 3 0
36.03, 19, 4 2 2
37.55, 34, 4 3 1
53.02, 16, 7 1 0
55.28, 24, 6 3 3
61.71, 20, 7 4 1

Structure:
```
data_Dy4Ho19Sc6
_cell_length_a 12.2120
_cell_length_b 12.2120
_cell_length_c 12.2120
_cell_angle_alpha 90.00
_cell_angle_beta 90.00
_cell_angle_gamma 90.00
_symmetry_space_group_name_H-M 'I 2 3'
_symmetry_Int_Tables_number 197
_symmetry_space_group_name_Hall 'I 2 2 3'
loop_
_atom_site_label
_atom_site_fract_x
_atom_site_fract_y
_atom_site_fract_z
Dy1 0.1788 0.1788 0.1788
Ho1 0.0000 0.0000 0.0000
Ho2 0.0000 0.0000 0.2659
Ho3 0.0588 0.2809 0.7266
Sc1 0.0000 0.1179 0.5000
```


Entry 6:
Starting from a crystal structure in Alexandria, relaxed with PBE, the XRD peak list of DyHoSc5 was computed for Cu Kα.
Peak positions follow from Bragg's law for the DFT cell and can differ from measured ones.

Main lines, by angle (2θ from 10° to 90°):
2theta, I (rel.), h k l
21.00, 90, 1 0 1
34.29, 100, 1 1 2
35.27, 49, 2 0 0
39.68, 18, 1 0 3
41.40, 32, 2 1 1
50.74, 18, 2 2 0
60.76, 17, 2 0 4
62.67, 33, 3 1 2

Structure:
```
data_DyHoSc5
_cell_length_a 5.0894
_cell_length_b 5.0894
_cell_length_c 7.6143
_cell_angle_alpha 90.00
_cell_angle_beta 90.00
_cell_angle_gamma 90.00
_symmetry_space_group_name_H-M 'P 4/m m m'
_symmetry_Int_Tables_number 123
_symmetry_space_group_name_Hall '-P 4 2'
loop_
_atom_site_label
_atom_site_fract_x
_atom_site_fract_y
_atom_site_fract_z
Dy1 0.0000 0.0000 0.0000
Ho1 0.5000 0.5000 0.5000
Sc1 0.0000 0.5000 0.2731
Sc2 0.5000 0.5000 0.0000
```


Entry 7:
Starting from a crystal structure in Alexandria, relaxed with PBE, the XRD peak list of Dy5Ho2Sc5 was computed for Cu Kα.
Peak positions follow from Bragg's law for the DFT cell and can differ from measured ones.

Main lines, by angle (2θ from 10° to 90°):
2theta, I (rel.), h k l
32.04, 100, 3 1 1
37.07, 17, 0 0 4
37.21, 33, 0 2 0
53.53, 23, 0 2 4
53.64, 11, 6 2 -2
63.67, 13, 3 1 -7
63.86, 27, 3 3 1
67.00, 12, 6 2 -6

Structure:
```
data_Dy5Ho2Sc5
_cell_length_a 14.4967
_cell_length_b 4.8335
_cell_length_c 10.8413
_cell_angle_alpha 90.00
_cell_angle_beta 116.51
_cell_angle_gamma 90.00
_symmetry_space_group_name_H-M 'C 1 2/m 1'
_symmetry_Int_Tables_number 12
loop_
_symmetry_equiv_pos_as_xyz
'x,y,z'
'-x,-y,-z'
'-x,y,-z'
'x,-y,z'
'x+1/2,y+1/2,z'
'-x+1/2,-y+1/2,-z'
'-x+1/2,y+1/2,-z'
'x+1/2,-y+1/2,z'
loop_
_atom_site_label
_atom_site_fract_x
_atom_site_fract_y
_atom_site_fract_z
Dy1 0.0000 0.0000 0.0000
Dy2 0.0876 0.0000 0.7521
Dy3 0.1647 0.0000 0.4993
Ho1 0.0834 0.5000 0.2459
Sc1 0.0000 0.5000 0.5000
Sc2 0.1710 0.5000 0.0017
Sc3 0.2500 0.0000 0.2460
```


Entry 8:
Starting from a crystal structure in Alexandria, relaxed with PBE, the XRD peak list of Dy3HoSc3 was computed for Cu Kα.
Peak positions follow from Bragg's law for the DFT cell and can differ from measured ones.

Main lines, by angle (2θ from 10° to 90°):
2theta, I (rel.), h k l
29.63, 28, 1 2 0
32.92, 24, 0 0 2
34.00, 100, 1 2 1
44.87, 18, 1 2 2
52.58, 19, 4 1 0
59.47, 20, 1 2 3
63.44, 21, 4 1 2
64.11, 16, 2 4 1

Structure:
```
data_Dy3HoSc3
_cell_length_a 9.2098
_cell_length_b 9.2098
_cell_length_c 5.4420
_cell_angle_alpha 90.00
_cell_angle_beta 90.00
_cell_angle_gamma 120.00
_symmetry_space_group_name_H-M 'P 63/m'
_symmetry_Int_Tables_number 176
_symmetry_space_group_name_Hall '-P 6c'
loop_
_atom_site_label
_atom_site_fract_x
_atom_site_fract_y
_atom_site_fract_z
Dy1 0.0476 0.8027 0.2500
Ho1 0.3333 0.6667 0.2500
Sc1 0.0957 0.6145 0.7500
```


Entry 9:
Starting from a crystal structure in Alexandria, relaxed with PBE, the XRD peak list of Dy2Ho12Sc was computed for Cu Kα.
Peak positions follow from Bragg's law for the DFT cell and can differ from measured ones.

Main lines, by angle (2θ from 10° to 90°):
2theta, I (rel.), h k l
30.41, 73, 1 1 1
30.49, 68, 0 1 7
31.14, 35, 1 1 2
33.02, 82, 0 2 0
33.42, 29, 1 0 -6
33.52, 30, 1 1 -4
33.75, 100, 0 1 8
57.37, 24, 0 3 7

Structure:
```
data_Dy2Ho12Sc
_cell_length_a 3.5348
_cell_length_b 5.4264
_cell_length_c 24.3863
_cell_angle_alpha 90.00
_cell_angle_beta 90.61
_cell_angle_gamma 90.00
_symmetry_space_group_name_H-M 'P 1 2/m 1'
_symmetry_Int_Tables_number 10
loop_
_symmetry_equiv_pos_as_xyz
'x,y,z'
'-x,-y,-z'
'-x,y,-z'
'x,-y,z'
loop_
_atom_site_label
_atom_site_fract_x
_atom_site_fract_y
_atom_site_fract_z
Dy1 0.2303 0.0000 0.2769
Ho1 0.2225 0.5000 0.9385
Ho2 0.2230 0.0000 0.1281
Ho3 0.2466 0.5000 0.4453
Ho4 0.2543 0.0000 0.5749
Ho5 0.2651 0.5000 0.6685
Ho6 0.2706 0.5000 0.8004
Sc1 0.5000 0.0000 0.0000
```


Entry 10:
Starting from a crystal structure in Alexandria, relaxed with PBE, the XRD peak list of Sm2Dy4HoSc was computed for Cu Kα.
Peak positions follow from Bragg's law for the DFT cell and can differ from measured ones.

Main lines, by angle (2θ from 10° to 90°):
2theta, I (rel.), h k l
31.06, 100, 1 1 2
35.98, 34, 2 0 0
36.10, 17, 0 0 4
51.86, 36, 2 2 0
61.64, 28, 3 1 2
61.80, 14, 1 1 6
64.76, 12, 2 2 4
84.78, 12, 3 1 6

Structure:
```
data_Sm2Dy4HoSc
_cell_length_a 4.9923
_cell_length_b 4.9923
_cell_length_c 9.9522
_cell_angle_alpha 90.00
_cell_angle_beta 90.00
_cell_angle_gamma 90.00
_symmetry_space_group_name_H-M 'P 4/m m m'
_symmetry_Int_Tables_number 123
_symmetry_space_group_name_Hall '-P 4 2'
loop_
_atom_site_label
_atom_site_fract_x
_atom_site_fract_y
_atom_site_fract_z
Sm1 0.0000 0.0000 0.0000
Sm2 0.5000 0.5000 0.5000
Dy1 0.0000 0.5000 0.2456
Ho1 0.0000 0.0000 0.5000
Sc1 0.5000 0.5000 0.0000
```


Entry 11:
Starting from a crystal structure in Alexandria, relaxed with PBE, the XRD peak list of Sm3Dy2Ho6Sc was computed for Cu Kα.
Peak positions follow from Bragg's law for the DFT cell and can differ from measured ones.

Main lines, by angle (2θ from 10° to 90°):
2theta, I (rel.), h k l
31.02, 100, 1 3 1
35.97, 50, 2 0 2
51.79, 36, 0 6 0
61.58, 32, 4 0 0
61.67, 10, 2 0 6
64.63, 9, 2 6 2
84.52, 9, 4 6 0
87.40, 8, 0 6 8

Structure:
```
data_Sm3Dy2Ho6Sc
_cell_length_a 6.1215
_cell_length_b 10.5975
_cell_length_c 11.6924
_cell_angle_alpha 90.00
_cell_angle_beta 100.03
_cell_angle_gamma 90.00
_symmetry_space_group_name_H-M 'C 1 2/m 1'
_symmetry_Int_Tables_number 12
loop_
_symmetry_equiv_pos_as_xyz
'x,y,z'
'-x,-y,-z'
'-x,y,-z'
'x,-y,z'
'x+1/2,y+1/2,z'
'-x+1/2,-y+1/2,-z'
'-x+1/2,y+1/2,-z'
'x+1/2,-y+1/2,z'
loop_
_atom_site_label
_atom_site_fract_x
_atom_site_fract_y
_atom_site_fract_z
Sm1 0.0000 0.0000 0.0000
Sm2 0.0000 0.3335 0.0000
Dy1 0.0000 0.1665 0.5000
Ho1 0.2469 0.3346 0.7453
Ho2 0.2492 0.5000 0.2545
Sc1 0.0000 0.5000 0.5000
```


Entry 12:
Starting from a crystal structure in Alexandria, relaxed with PBE, the XRD peak list of SmDy4Ho2Sc was computed for Cu Kα.
Peak positions follow from Bragg's law for the DFT cell and can differ from measured ones.

Main lines, by angle (2θ from 10° to 90°):
2theta, I (rel.), h k l
31.19, 100, 1 1 2
36.17, 50, 2 0 0
52.08, 35, 2 2 0
61.96, 42, 3 1 2
65.05, 12, 2 2 4
85.15, 17, 3 3 2
87.82, 5, 2 0 8
87.96, 11, 4 2 0

Structure:
```
data_SmDy4Ho2Sc
_cell_length_a 4.9643
_cell_length_b 4.9643
_cell_length_c 9.9454
_cell_angle_alpha 90.00
_cell_angle_beta 90.00
_cell_angle_gamma 90.00
_symmetry_space_group_name_H-M 'P 4/m m m'
_symmetry_Int_Tables_number 123
_symmetry_space_group_name_Hall '-P 4 2'
loop_
_atom_site_label
_atom_site_fract_x
_atom_site_fract_y
_atom_site_fract_z
Sm1 0.0000 0.0000 0.0000
Dy1 0.0000 0.5000 0.2560
Ho1 0.0000 0.0000 0.5000
Ho2 0.5000 0.5000 0.0000
Sc1 0.5000 0.5000 0.5000
```


Please write out number 6 again, unchanged.
Starting from a crystal structure in Alexandria, relaxed with PBE, the XRD peak list of DyHoSc5 was computed for Cu Kα.
Peak positions follow from Bragg's law for the DFT cell and can differ from measured ones.

Main lines, by angle (2θ from 10° to 90°):
2theta, I (rel.), h k l
21.00, 90, 1 0 1
34.29, 100, 1 1 2
35.27, 49, 2 0 0
39.68, 18, 1 0 3
41.40, 32, 2 1 1
50.74, 18, 2 2 0
60.76, 17, 2 0 4
62.67, 33, 3 1 2

Structure:
```
data_DyHoSc5
_cell_length_a 5.0894
_cell_length_b 5.0894
_cell_length_c 7.6143
_cell_angle_alpha 90.00
_cell_angle_beta 90.00
_cell_angle_gamma 90.00
_symmetry_space_group_name_H-M 'P 4/m m m'
_symmetry_Int_Tables_number 123
_symmetry_space_group_name_Hall '-P 4 2'
loop_
_atom_site_label
_atom_site_fract_x
_atom_site_fract_y
_atom_site_fract_z
Dy1 0.0000 0.0000 0.0000
Ho1 0.5000 0.5000 0.5000
Sc1 0.0000 0.5000 0.2731
Sc2 0.5000 0.5000 0.0000
```